For Ag2Br2O7, a structure optimized by DFT (PBE) gives the simulated PXRD pattern in this record (Cu Ka).

Crystal structure
abc: 6.152 6.152 5.049
angles: 99.74 99.74 97.25
Positions (direct):
Ag: 0.201 0.799 0.000
Ag: 0.799 0.201 0.000
Br: 0.277 0.277 0.597
Br: 0.723 0.723 0.403
O: 0.105 0.401 0.782
O: 0.116 0.116 0.308
O: 0.401 0.105 0.782
O: 0.500 0.500 0.500
O: 0.599 0.895 0.218
O: 0.884 0.884 0.692
O: 0.895 0.599 0.218

The 8 most intense peaks (2θ = 10–80°), low angle first:
2θ (°)	I/Imax
25.19	683
25.70	388
26.58	1000
29.85	526
31.21	205
43.02	209
49.46	169
51.39	180

=====

For PmAgBrO2, a structure optimized by DFT (PBE) gives the simulated PXRD pattern in this record (Cu Ka).

Crystal structure
abc: 6.834 6.834 5.697
angles: 90.00 90.00 129.88
Positions (direct):
Pm: 0.103 0.897 0.750
Pm: 0.897 0.103 0.250
Ag: 0.464 0.536 0.750
Ag: 0.536 0.464 0.250
Br: 0.254 0.746 0.250
Br: 0.746 0.254 0.750
O: 0.224 0.224 0.000
O: 0.224 0.224 0.500
O: 0.776 0.776 0.000
O: 0.776 0.776 0.500

The 8 most intense peaks (2θ = 10–80°), low angle first:
2θ (°)	I/Imax
14.31	136
21.19	110
26.52	112
30.89	1000
31.40	210
44.63	228
54.95	183
55.59	144

=====

For TlAgBrO, a structure optimized by DFT (PBE) gives the simulated PXRD pattern in this record (Cu Ka).

Crystal structure
abc: 15.196 15.196 15.196
angles: 14.10 14.10 14.10
Positions (direct):
Tl: 0.000 0.000 0.000
Tl: 0.500 0.500 0.500
Ag: 0.237 0.237 0.237
Ag: 0.763 0.763 0.763
Br: 0.388 0.388 0.388
Br: 0.612 0.612 0.612
O: 0.189 0.189 0.189
O: 0.811 0.811 0.811

The 8 most intense peaks (2θ = 10–80°), low angle first:
2θ (°)	I/Imax
23.66	290
28.75	604
29.37	208
31.93	1000
34.14	279
42.55	284
48.84	445
54.96	197

=====

For TlAgOsBr6, a structure optimized by DFT (PBE) gives the simulated PXRD pattern in this record (Cu Ka).

Crystal structure
abc: 7.172 7.172 13.606
angles: 90.00 90.00 120.00
Positions (direct):
Tl: 0.000 0.000 0.000
Tl: 0.000 0.000 0.500
Ag: 0.333 0.667 0.250
Ag: 0.667 0.333 0.750
Os: 0.333 0.667 0.750
Os: 0.667 0.333 0.250
Br: 0.039 0.391 0.644
Br: 0.039 0.649 0.856
Br: 0.351 0.391 0.856
Br: 0.351 0.961 0.644
Br: 0.391 0.039 0.144
Br: 0.391 0.351 0.356
Br: 0.609 0.649 0.644
Br: 0.609 0.961 0.856
Br: 0.649 0.039 0.356
Br: 0.649 0.609 0.144
Br: 0.961 0.351 0.144
Br: 0.961 0.609 0.356

The 8 most intense peaks (2θ = 10–80°), low angle first:
2θ (°)	I/Imax
15.68	167
19.35	1000
28.13	447
31.67	229
36.41	794
40.66	320
43.72	335
58.16	176

=====

For AgPBr6, a structure optimized by DFT (PBE) gives the simulated PXRD pattern in this record (Cu Ka).

Crystal structure
abc: 6.771 6.771 7.056
angles: 90.04 118.67 119.92
Positions (direct):
Ag: 0.000 0.000 0.000
P: 0.000 0.500 0.500
Br: 0.131 0.412 0.265
Br: 0.148 0.282 0.735
Br: 0.453 0.865 0.735
Br: 0.547 0.135 0.265
Br: 0.852 0.718 0.265
Br: 0.869 0.588 0.735

The 8 most intense peaks (2θ = 10–80°), low angle first:
2θ (°)	I/Imax
18.17	381
30.46	1000
40.66	333
45.81	89
46.42	167
54.10	150
56.55	144
63.36	93

=====

For PaAg2Br7, a structure optimized by DFT (PBE) gives the simulated PXRD pattern in this record (Cu Ka).

Crystal structure
abc: 8.716 8.716 12.843
angles: 113.42 113.42 56.04
Positions (direct):
Pa: 0.248 0.752 0.750
Pa: 0.752 0.248 0.250
Ag: 0.031 0.636 0.286
Ag: 0.364 0.969 0.214
Ag: 0.636 0.031 0.786
Ag: 0.969 0.364 0.714
Br: 0.090 0.312 0.307
Br: 0.099 0.901 0.250
Br: 0.217 0.740 0.529
Br: 0.260 0.783 0.971
Br: 0.312 0.090 0.807
Br: 0.369 0.372 0.174
Br: 0.372 0.369 0.674
Br: 0.628 0.631 0.326
Br: 0.631 0.628 0.826
Br: 0.688 0.910 0.193
Br: 0.740 0.217 0.029
Br: 0.783 0.260 0.471
Br: 0.901 0.099 0.750
Br: 0.910 0.688 0.693

The 8 most intense peaks (2θ = 10–80°), low angle first:
2θ (°)	I/Imax
12.89	195
13.16	439
15.45	1000
20.45	441
25.32	168
34.06	185
37.33	287
38.36	393

=====

For AgPb3Br7, a structure optimized by DFT (PBE) gives the simulated PXRD pattern in this record (Cu Ka).

Crystal structure
abc: 9.093 9.093 9.807
angles: 90.00 90.00 106.58
Positions (direct):
Ag: 0.021 0.021 0.000
Ag: 0.979 0.979 0.500
Pb: 0.004 0.557 0.736
Pb: 0.433 0.433 0.500
Pb: 0.443 0.996 0.764
Pb: 0.557 0.004 0.264
Pb: 0.567 0.567 0.000
Pb: 0.996 0.443 0.236
Br: 0.064 0.338 0.951
Br: 0.083 0.917 0.750
Br: 0.098 0.336 0.543
Br: 0.336 0.098 0.457
Br: 0.338 0.064 0.049
Br: 0.352 0.648 0.750
Br: 0.375 0.625 0.250
Br: 0.625 0.375 0.750
Br: 0.648 0.352 0.250
Br: 0.662 0.936 0.549
Br: 0.664 0.902 0.957
Br: 0.902 0.664 0.043
Br: 0.917 0.083 0.250
Br: 0.936 0.662 0.451

The 8 most intense peaks (2θ = 10–80°), low angle first:
2θ (°)	I/Imax
20.38	809
21.85	772
30.91	217
32.96	192
34.83	1000
36.66	275
42.30	237
64.84	251

=====

For Ag4Pb2Br9, a structure optimized by DFT (PBE) gives the simulated PXRD pattern in this record (Cu Ka).

Crystal structure
abc: 7.274 7.277 20.207
angles: 90.10 90.16 119.96
Positions (direct):
Ag: 0.166 0.332 0.324
Ag: 0.167 0.333 0.509
Ag: 0.167 0.336 0.824
Ag: 0.168 0.334 0.009
Ag: 0.832 0.666 0.991
Ag: 0.833 0.664 0.176
Ag: 0.833 0.667 0.491
Ag: 0.834 0.668 0.676
Pb: 0.498 0.998 0.350
Pb: 0.499 0.002 0.850
Pb: 0.501 0.998 0.150
Pb: 0.502 0.002 0.650
Br: 0.127 0.640 0.082
Br: 0.128 0.985 0.582
Br: 0.142 0.627 0.419
Br: 0.143 0.019 0.919
Br: 0.172 0.997 0.249
Br: 0.174 0.676 0.749
Br: 0.482 0.357 0.418
Br: 0.483 0.627 0.917
Br: 0.499 0.673 0.250
Br: 0.501 0.327 0.750
Br: 0.517 0.373 0.083
Br: 0.518 0.643 0.582
Br: 0.826 0.324 0.251
Br: 0.828 0.003 0.751
Br: 0.857 0.981 0.081
Br: 0.858 0.373 0.581
Br: 0.872 0.015 0.418
Br: 0.873 0.360 0.918

The 8 most intense peaks (2θ = 10–80°), low angle first:
2θ (°)	I/Imax
16.58	651
22.56	858
24.47	477
27.85	727
27.91	362
36.29	864
36.41	859
43.06	1000

=====

For Ag3Pb4Br12, a structure optimized by DFT (PBE) gives the simulated PXRD pattern in this record (Cu Ka).

Crystal structure
abc: 9.680 9.680 9.680
angles: 109.47 109.47 109.47
Positions (direct):
Ag: 0.000 0.500 0.500
Ag: 0.500 0.000 0.500
Ag: 0.500 0.500 0.000
Pb: 0.000 0.000 0.500
Pb: 0.000 0.500 0.000
Pb: 0.500 0.000 0.000
Pb: 0.500 0.500 0.500
Br: 0.154 0.325 0.829
Br: 0.171 0.496 0.325
Br: 0.171 0.846 0.675
Br: 0.325 0.171 0.496
Br: 0.325 0.829 0.154
Br: 0.496 0.325 0.171
Br: 0.504 0.675 0.829
Br: 0.675 0.171 0.846
Br: 0.675 0.829 0.504
Br: 0.829 0.154 0.325
Br: 0.829 0.504 0.675
Br: 0.846 0.675 0.171

The 8 most intense peaks (2θ = 10–80°), low angle first:
2θ (°)	I/Imax
15.86	316
22.50	846
25.20	390
32.03	355
35.93	345
39.50	1000
51.73	290
71.64	404

=====

For Ag2PbBr4, a structure optimized by DFT (PBE) gives the simulated PXRD pattern in this record (Cu Ka).

Crystal structure
abc: 6.249 6.249 6.628
angles: 90.00 90.00 90.00
Positions (direct):
Ag: 0.000 0.500 0.000
Ag: 0.500 0.000 0.000
Pb: 0.000 0.000 0.500
Br: 0.269 0.269 0.759
Br: 0.269 0.731 0.241
Br: 0.731 0.269 0.241
Br: 0.731 0.731 0.759

The 8 most intense peaks (2θ = 10–80°), low angle first:
2θ (°)	I/Imax
14.17	151
19.52	237
24.21	1000
39.64	524
40.84	236
45.93	176
48.04	299
73.56	151

=====

For Ag2PbBr8, a structure optimized by DFT (PBE) gives the simulated PXRD pattern in this record (Cu Ka).

Crystal structure
abc: 8.096 8.096 8.096
angles: 123.50 123.50 84.04
Positions (direct):
Ag: 0.250 0.750 0.500
Ag: 0.750 0.250 0.500
Pb: 0.000 0.000 0.000
Br: 0.074 0.566 0.867
Br: 0.207 0.074 0.508
Br: 0.301 0.434 0.508
Br: 0.434 0.926 0.133
Br: 0.566 0.699 0.492
Br: 0.699 0.207 0.133
Br: 0.793 0.301 0.867
Br: 0.926 0.793 0.492

The 8 most intense peaks (2θ = 10–80°), low angle first:
2θ (°)	I/Imax
13.70	591
22.08	957
27.05	910
33.06	532
34.42	648
38.03	1000
40.11	523
54.40	285

=====

For Rb4Ag3PbBr12, a structure optimized by DFT (PBE) gives the simulated PXRD pattern in this record (Cu Ka).

Crystal structure
abc: 9.634 9.634 9.634
angles: 109.47 109.47 109.47
Positions (direct):
Rb: 0.000 0.000 0.500
Rb: 0.000 0.500 0.000
Rb: 0.500 0.000 0.000
Rb: 0.500 0.500 0.500
Ag: 0.000 0.500 0.500
Ag: 0.500 0.000 0.500
Ag: 0.500 0.500 0.000
Pb: 0.000 0.000 0.000
Br: 0.000 0.257 0.257
Br: 0.000 0.743 0.743
Br: 0.250 0.500 0.750
Br: 0.250 0.750 0.500
Br: 0.257 0.000 0.257
Br: 0.257 0.257 0.000
Br: 0.500 0.250 0.750
Br: 0.500 0.750 0.250
Br: 0.743 0.000 0.743
Br: 0.743 0.743 0.000
Br: 0.750 0.250 0.500
Br: 0.750 0.500 0.250

The 8 most intense peaks (2θ = 10–80°), low angle first:
2θ (°)	I/Imax
15.93	432
22.61	435
27.78	353
32.19	1000
36.11	228
46.16	714
57.39	245
76.61	314